No. 1
# CaNdHoMg
Calculated powder diffraction line list, copper Kα. Input: a crystal structure in Alexandria, relaxed with PBE.
Intensities are scaled so that the largest is 100.

Peak list (6 most intense, 10° ≤ 2θ ≤ 90°, sorted by position)
- 2θ = 26.12°, 3.412 Å, intensity 34
- 2θ = 30.64°, 2.918 Å, intensity 100
- 2θ = 34.84°, 2.575 Å, intensity 37
- 2θ = 37.07°, 2.425 Å, intensity 14
- 2θ = 51.63°, 1.770 Å, intensity 20
- 2θ = 59.87°, 1.545 Å, intensity 29

Cell and atoms:
```
data_CaNdHoMg
_cell_length_a 3.642
_cell_length_b 3.642
_cell_length_c 9.752
_cell_angle_alpha 90.00
_cell_angle_beta 90.00
_cell_angle_gamma 90.00
_symmetry_space_group_name_H-M 'P 4 m m'
_symmetry_Int_Tables_number 99
loop_
_symmetry_equiv_pos_as_xyz
'x,y,z'
'-y,x,z'
'-x,-y,z'
'y,-x,z'
'-x,y,z'
'y,x,z'
'x,-y,z'
'-y,-x,z'
loop_
_atom_site_label
_atom_site_type_symbol
_atom_site_fract_x
_atom_site_fract_y
_atom_site_fract_z
Ca1 Ca 0.000 0.000 0.000
Nd1 Nd 0.500 0.500 0.703
Ho1 Ho 0.000 0.000 0.454
Mg1 Mg 0.500 0.500 0.237
```

***

No. 2
# CaHoMgTl
Calculated powder diffraction line list, copper Kα. Input: a crystal structure in Alexandria, relaxed with PBE.
Intensities are scaled so that the largest is 100.

Peak list (6 most intense, 10° ≤ 2θ ≤ 90°, sorted by position)
- 2θ = 20.14°, 4.409 Å, intensity 54
- 2θ = 33.18°, 2.700 Å, intensity 100
- 2θ = 39.13°, 2.302 Å, intensity 31
- 2θ = 47.64°, 1.909 Å, intensity 18
- 2θ = 59.29°, 1.559 Å, intensity 38
- 2θ = 79.36°, 1.207 Å, intensity 16

Cell and atoms:
```
data_CaHoMgTl
_cell_length_a 7.636
_cell_length_b 7.636
_cell_length_c 7.636
_cell_angle_alpha 90.00
_cell_angle_beta 90.00
_cell_angle_gamma 90.00
_symmetry_space_group_name_H-M 'F -4 3 m'
_symmetry_Int_Tables_number 216
_symmetry_space_group_name_Hall 'F -4 2 3'
loop_
_atom_site_label
_atom_site_type_symbol
_atom_site_fract_x
_atom_site_fract_y
_atom_site_fract_z
Ca1 Ca 0.000 0.000 0.000
Ho1 Ho 0.000 0.000 0.500
Mg1 Mg 0.250 0.250 0.750
Tl1 Tl 0.250 0.250 0.250
```

***

No. 3
# Ca3Ho3MnSe8
Calculated powder diffraction line list, copper Kα. Input: a crystal structure in Alexandria, relaxed with PBE.
Intensities are scaled so that the largest is 100.

Peak list (6 most intense, 10° ≤ 2θ ≤ 90°, sorted by position)
- 2θ = 13.00°, 6.810 Å, intensity 33
- 2θ = 30.82°, 2.901 Å, intensity 100
- 2θ = 43.77°, 2.068 Å, intensity 37
- 2θ = 44.52°, 2.035 Å, intensity 36
- 2θ = 55.12°, 1.666 Å, intensity 19
- 2θ = 73.45°, 1.289 Å, intensity 16

Cell and atoms:
```
data_Ca3Ho3MnSe8
_cell_length_a 8.1407
_cell_length_b 8.1407
_cell_length_c 20.4304
_cell_angle_alpha 90.00
_cell_angle_beta 90.00
_cell_angle_gamma 120.00
_symmetry_space_group_name_H-M 'R -3 m'
_symmetry_Int_Tables_number 166
_symmetry_space_group_name_Hall '-R 3 2"'
loop_
_atom_site_label
_atom_site_type_symbol
_atom_site_fract_x
_atom_site_fract_y
_atom_site_fract_z
Ca1 Ca 0.0000 0.5000 0.0000
Ho1 Ho 0.0000 0.5000 0.5000
Mn1 Mn 0.0000 0.0000 0.5000
Se1 Se 0.0000 0.0000 0.2477
Se2 Se 0.0072 0.5036 0.2443
```

***

No. 4
# CaHo2NbN4
Calculated powder diffraction line list, copper Kα. Input: a crystal structure in Alexandria, relaxed with PBE.
Intensities are scaled so that the largest is 100.

Peak list (6 most intense, 10° ≤ 2θ ≤ 90°, sorted by position)
- 2θ = 14.56°, 6.082 Å, intensity 49
- 2θ = 16.61°, 5.338 Å, intensity 43
- 2θ = 29.37°, 3.041 Å, intensity 51
- 2θ = 30.09°, 2.970 Å, intensity 52
- 2θ = 31.01°, 2.884 Å, intensity 96
- 2θ = 37.84°, 2.377 Å, intensity 100

Cell and atoms:
```
data_CaHo2NbN4
_cell_length_a 3.407
_cell_length_b 11.880
_cell_length_c 12.164
_cell_angle_alpha 90.00
_cell_angle_beta 90.00
_cell_angle_gamma 90.00
_symmetry_space_group_name_H-M 'C m c m'
_symmetry_Int_Tables_number 63
_symmetry_space_group_name_Hall '-C 2c 2'
loop_
_atom_site_label
_atom_site_type_symbol
_atom_site_fract_x
_atom_site_fract_y
_atom_site_fract_z
Ca1 Ca 0.000 0.107 0.250
Ho1 Ho 0.000 0.371 0.032
Nb1 Nb 0.000 0.158 0.750
N1 N 0.000 0.000 0.000
N2 N 0.000 0.257 0.621
N3 N 0.000 0.440 0.250
```

***

No. 5
# NaCa3Ho2Te6
Calculated powder diffraction line list, copper Kα. Input: a crystal structure in Alexandria, relaxed with PBE.
Intensities are scaled so that the largest is 100.

Peak list (6 most intense, 10° ≤ 2θ ≤ 90°, sorted by position)
- 2θ = 28.33°, 3.151 Å, intensity 100
- 2θ = 40.49°, 2.228 Å, intensity 75
- 2θ = 50.13°, 1.820 Å, intensity 20
- 2θ = 58.60°, 1.575 Å, intensity 12
- 2θ = 66.33°, 1.409 Å, intensity 28
- 2θ = 73.60°, 1.287 Å, intensity 14

Cell and atoms:
```
data_NaCa3Ho2Te6
_cell_length_a 7.726
_cell_length_b 13.368
_cell_length_c 7.710
_cell_angle_alpha 90.00
_cell_angle_beta 109.51
_cell_angle_gamma 90.00
_symmetry_space_group_name_H-M 'C 1 2/m 1'
_symmetry_Int_Tables_number 12
loop_
_symmetry_equiv_pos_as_xyz
'x,y,z'
'-x,-y,-z'
'-x,y,-z'
'x,-y,z'
'x+1/2,y+1/2,z'
'-x+1/2,-y+1/2,-z'
'-x+1/2,y+1/2,-z'
'x+1/2,-y+1/2,z'
loop_
_atom_site_label
_atom_site_type_symbol
_atom_site_fract_x
_atom_site_fract_y
_atom_site_fract_z
Na1 Na 0.000 0.000 0.000
Ca1 Ca 0.000 0.164 0.500
Ca2 Ca 0.000 0.500 0.500
Ho1 Ho 0.000 0.333 0.000
Te1 Te 0.240 0.500 0.242
Te2 Te 0.248 0.329 0.756
```

***

No. 6
# NaCa2HoTe4
Calculated powder diffraction line list, copper Kα. Input: a crystal structure in Alexandria, relaxed with PBE.
Intensities are scaled so that the largest is 100.

Peak list (6 most intense, 10° ≤ 2θ ≤ 90°, sorted by position)
- 2θ = 28.05°, 3.181 Å, intensity 100
- 2θ = 28.38°, 3.145 Å, intensity 48
- 2θ = 39.94°, 2.258 Å, intensity 19
- 2θ = 40.18°, 2.244 Å, intensity 56
- 2θ = 40.49°, 2.228 Å, intensity 37
- 2θ = 49.98°, 1.825 Å, intensity 30

Cell and atoms:
```
data_NaCa2HoTe4
_cell_length_a 7.702
_cell_length_b 4.483
_cell_length_c 7.785
_cell_angle_alpha 90.00
_cell_angle_beta 108.66
_cell_angle_gamma 90.00
_symmetry_space_group_name_H-M 'P 1 2/m 1'
_symmetry_Int_Tables_number 10
loop_
_symmetry_equiv_pos_as_xyz
'x,y,z'
'-x,-y,-z'
'-x,y,-z'
'x,-y,z'
loop_
_atom_site_label
_atom_site_type_symbol
_atom_site_fract_x
_atom_site_fract_y
_atom_site_fract_z
Na1 Na 0.000 0.000 0.000
Ca1 Ca 0.500 0.000 0.500
Ca2 Ca 0.500 0.500 0.000
Ho1 Ho 0.000 0.500 0.500
Te1 Te 0.241 0.000 0.741
Te2 Te 0.248 0.500 0.259
```

***

No. 7
# CaNd4Ho
Calculated powder diffraction line list, copper Kα. Input: a crystal structure in Alexandria, relaxed with PBE.
Intensities are scaled so that the largest is 100.

Peak list (6 most intense, 10° ≤ 2θ ≤ 90°, sorted by position)
- 2θ = 29.57°, 3.021 Å, intensity 99
- 2θ = 29.91°, 2.988 Å, intensity 100
- 2θ = 34.32°, 2.613 Å, intensity 35
- 2θ = 34.55°, 2.596 Å, intensity 66
- 2θ = 49.49°, 1.842 Å, intensity 47
- 2θ = 58.71°, 1.573 Å, intensity 40

Cell and atoms:
```
data_CaNd4Ho
_cell_length_a 3.642
_cell_length_b 5.226
_cell_length_c 11.106
_cell_angle_alpha 90.00
_cell_angle_beta 90.00
_cell_angle_gamma 90.00
_symmetry_space_group_name_H-M 'P m m m'
_symmetry_Int_Tables_number 47
loop_
_symmetry_equiv_pos_as_xyz
'x,y,z'
'-x,-y,-z'
'-x,-y,z'
'x,y,-z'
'x,-y,-z'
'-x,y,z'
'-x,y,-z'
'x,-y,z'
loop_
_atom_site_label
_atom_site_type_symbol
_atom_site_fract_x
_atom_site_fract_y
_atom_site_fract_z
Ca1 Ca 0.000 0.000 0.000
Nd1 Nd 0.000 0.000 0.340
Nd2 Nd 0.500 0.500 0.182
Ho1 Ho 0.500 0.500 0.500
```

***

No. 8
# CaNd3Ho6
Calculated powder diffraction line list, copper Kα. Input: a crystal structure in Alexandria, relaxed with PBE.
Intensities are scaled so that the largest is 100.

Peak list (6 most intense, 10° ≤ 2θ ≤ 90°, sorted by position)
- 2θ = 28.27°, 3.157 Å, intensity 62
- 2θ = 30.83°, 2.900 Å, intensity 42
- 2θ = 31.19°, 2.867 Å, intensity 100
- 2θ = 31.29°, 2.858 Å, intensity 28
- 2θ = 31.75°, 2.818 Å, intensity 34
- 2θ = 54.72°, 1.677 Å, intensity 26

Cell and atoms:
```
data_CaNd3Ho6
_cell_length_a 11.665
_cell_length_b 6.634
_cell_length_c 9.593
_cell_angle_alpha 90.00
_cell_angle_beta 113.66
_cell_angle_gamma 90.00
_symmetry_space_group_name_H-M 'C 1 2/m 1'
_symmetry_Int_Tables_number 12
loop_
_symmetry_equiv_pos_as_xyz
'x,y,z'
'-x,-y,-z'
'-x,y,-z'
'x,-y,z'
'x+1/2,y+1/2,z'
'-x+1/2,-y+1/2,-z'
'-x+1/2,y+1/2,-z'
'x+1/2,-y+1/2,z'
loop_
_atom_site_label
_atom_site_type_symbol
_atom_site_fract_x
_atom_site_fract_y
_atom_site_fract_z
Ca1 Ca 0.000 0.000 0.000
Nd1 Nd 0.000 0.500 0.500
Nd2 Nd 0.069 0.000 0.692
Ho1 Ho 0.141 0.500 0.926
Ho2 Ho 0.188 0.253 0.310
```

***

Which formula does entry 6 have?
NaCa2HoTe4